No. 1
The following is a calculated X-ray diffraction stick pattern of CsVF4. It was derived from DFT lattice parameters and positions (GGA+U), using CuKα.
Neutral-atom scattering factors, no anomalous dispersion.

```
24
Lattice="7.937 0.000 0.000 0.000 7.939 0.000 0.000 0.000 6.704" Properties=species:S:1:pos:R:3 pbc="T T T"
Cs 1.984 1.985 0.025
Cs 1.984 5.954 6.438
Cs 5.953 1.985 0.267
Cs 5.953 5.954 6.679
V 0.000 0.000 3.352
V 0.000 3.969 3.352
V 3.969 0.000 3.352
V 3.969 3.969 3.352
F 0.132 4.143 1.436
F 0.132 7.765 1.436
F 0.287 1.985 3.142
F 1.984 4.249 3.554
F 1.984 7.659 3.554
F 3.681 1.985 3.142
F 3.836 4.143 1.436
F 3.836 7.765 1.436
F 4.101 0.174 5.269
F 4.101 3.795 5.269
F 4.256 5.954 3.563
F 5.953 0.279 3.151
F 5.953 3.690 3.151
F 7.650 5.954 3.563
F 7.805 0.174 5.269
F 7.805 3.795 5.269
```

Principal peaks in the range 5 to 70 degrees two-theta, in order of rising 2θ:
two_theta	intensity
26.1	100
26.6	26
31.9	35
34.6	24
35.0	19
42.0	14
45.7	22
46.6	24
53.4	29
53.7	14
58.9	8
67.4	15


No. 2
The following is a calculated X-ray diffraction stick pattern of MgZn2Cr2O8. It was derived from DFT lattice parameters and positions (GGA+U), using CuKα.
Neutral-atom scattering factors, no anomalous dispersion.

```
13
Lattice="6.378 0.000 0.000 0.000 2.866 4.325 0.000 -2.866 4.325" Properties=species:S:1:pos:R:3 pbc="T T T"
Mg 0.000 0.000 0.000
Zn 1.624 0.000 2.921
Zn 4.754 0.000 2.921
Cr 0.000 0.000 5.884
Cr 3.189 0.000 8.476
O 0.000 -1.509 2.804
O 0.000 1.509 2.804
O 1.393 0.000 4.998
O 1.771 0.000 0.872
O 3.189 -1.427 3.223
O 3.189 1.427 3.223
O 4.607 0.000 0.872
O 4.986 0.000 4.998
```

Principal peaks in the range 5 to 70 degrees two-theta, in order of rising 2θ:
two_theta	intensity
18.6	20
20.5	17
23.3	34
24.9	23
31.2	46
33.8	100
34.8	57
47.6	25
51.0	21
57.2	19
57.9	26
61.0	36


No. 3
The following is a calculated X-ray diffraction stick pattern of NaMgFeO2. It was derived from DFT lattice parameters and positions (GGA+U), using CuKα.
Neutral-atom scattering factors, no anomalous dispersion.

```
10
Lattice="5.562 0.000 0.000 0.000 3.164 0.000 -0.382 0.000 7.798" Properties=species:S:1:pos:R:3 pbc="T T T"
Na 0.000 0.000 0.000
Na 2.781 1.582 0.000
Mg 1.827 0.000 2.456
Mg 4.608 1.582 2.456
Fe 0.486 1.582 5.307
Fe 3.267 0.000 5.307
O 0.888 1.582 1.711
O 1.512 0.000 6.232
O 3.669 0.000 1.711
O 4.293 1.582 6.232
```

Principal peaks in the range 5 to 70 degrees two-theta, in order of rising 2θ:
two_theta	intensity
11.3	54
22.8	58
32.6	27
34.3	49
34.5	30
34.8	37
38.9	51
40.6	100
57.3	23
57.7	29
58.3	16
59.2	13